KP4N3O16: computed PXRD pattern (Cu Kα (weighted mean of Kα1 and Kα2)), based on a crystal structure in the Materials Project, relaxed with GGA-PBE.
Kinematic intensities with the Lorentz-polarization factor, no thermal factor.

Atomic structure:
Unit cell a=7.8980 b=7.8980 c=7.5130 alpha=90.00 beta=90.00 gamma=90.00
Space group P-4 (No. 81)
Asymmetric unit:
K1 0.0000 0.0000 0.0000 (multiplicity 1)
P1 0.0000 0.0000 0.5000 (multiplicity 1)
P2 0.0000 0.5000 0.7559 (multiplicity 2)
P3 0.5000 0.5000 0.0000 (multiplicity 1)
N1 0.0000 0.5000 0.2488 (multiplicity 2)
N2 0.5000 0.5000 0.5000 (multiplicity 1)
O1 0.0370 0.3429 0.8696 (multiplicity 4)
O2 0.0461 0.1401 0.3649 (multiplicity 4)
O3 0.1463 0.5615 0.6356 (multiplicity 4)
O4 0.3486 0.5603 0.1123 (multiplicity 4)

Main lines, sorted by position (10 to 90 degrees two-theta):
index	Position (°2θ)	I (rel.)
1 0 1	16.28	79.6
2 0 0	22.52	100.0
1 2 1	27.91	29.3
1 1 2	28.64	68.3
2 0 2	32.91	19.6
3 2 1	43.01	11.2
3 1 2	43.51	36.4
4 2 4	73.62	10.7

***

Mg3Sb: computed PXRD pattern (Cu Kα (weighted mean of Kα1 and Kα2)), based on a crystal structure in the Materials Project, relaxed with GGA-PBE.
Kinematic intensities with the Lorentz-polarization factor, no thermal factor.

Atomic structure:
Unit cell a=4.5228 b=4.5228 c=4.5228 alpha=90.00 beta=90.00 gamma=90.00
Space group Pm-3m (No. 221)
Asymmetric unit:
Mg1 0.0000 0.0000 0.5000 (multiplicity 3)
Sb1 0.5000 0.5000 0.5000 (multiplicity 1)

Main lines, sorted by position (10 to 90 degrees two-theta):
index	Position (°2θ)	I (rel.)
1 0 0	19.63	69.7
1 1 0	27.90	59.4
1 1 1	34.34	100.0
2 0 0	39.86	49.3
2 1 0	44.81	32.6
2 1 1	49.36	24.5
2 2 0	57.65	32.4
3 1 1	68.85	37.4